This entry pairs a crystal structure of BaBi2I2O2 with its calculated PXRD pattern. Radiation: Cu Kα. Structure: a structure optimized by DFT (PBE).
Lines closer than 0.1° are merged.

Peak list (10 most intense, 10° ≤ 2θ ≤ 90°, in order of rising 2θ)
two_theta, I_rel
14.0, 35
21.2, 53
26.1, 100
27.0, 28
30.9, 68
33.8, 25
37.2, 47
38.8, 30
43.2, 25
49.1, 38

Structural model:
a = 4.8347 Å, b = 4.8347 Å, c = 25.2394 Å
α = 90.00°, β = 90.00°, γ = 90.00°
Positions (direct):
Ba  0.0000  0.0000  0.0000
Ba  0.5000  0.5000  0.5000
Bi  0.0000  0.0000  0.3869
Bi  0.0000  0.0000  0.8487
Bi  0.5000  0.5000  0.3487
Bi  0.5000  0.5000  0.8869
I  0.0000  0.0000  0.1236
I  0.0000  0.0000  0.5225
I  0.5000  0.5000  0.0225
I  0.5000  0.5000  0.6236
O  0.0000  0.5000  0.3738
O  0.0000  0.5000  0.8738
O  0.5000  0.0000  0.3738
O  0.5000  0.0000  0.8738

This entry pairs a crystal structure of Ba5In4Bi5 with its calculated PXRD pattern. Radiation: Cu Kα. Structure: a structure optimized by DFT (PBE).
Lines closer than 0.1° are merged.

Peak list (10 most intense, 10° ≤ 2θ ≤ 90°, in order of rising 2θ)
two_theta, I_rel
26.1, 44
26.8, 100
27.9, 57
30.5, 46
31.5, 22
32.7, 44
37.3, 22
38.6, 40
43.8, 19
54.8, 27

Structural model:
a = 10.7886 Å, b = 10.7886 Å, c = 9.1554 Å
α = 90.00°, β = 90.00°, γ = 90.00°
Positions (direct):
Ba  0.0000  0.0000  0.0000
Ba  0.1053  0.3100  0.6757
Ba  0.1900  0.3947  0.1757
Ba  0.3100  0.8947  0.6757
Ba  0.3947  0.8100  0.1757
Ba  0.5000  0.5000  0.5000
Ba  0.6053  0.1900  0.1757
Ba  0.6900  0.1053  0.6757
Ba  0.8100  0.6053  0.1757
Ba  0.8947  0.6900  0.6757
In  0.0721  0.8156  0.3326
In  0.1844  0.0721  0.3326
In  0.3156  0.5721  0.8326
In  0.4279  0.3156  0.8326
In  0.5721  0.6844  0.8326
In  0.6844  0.4279  0.8326
In  0.8156  0.9279  0.3326
In  0.9279  0.1844  0.3326
Bi  0.0000  0.0000  0.6137
Bi  0.1097  0.6904  0.9941
Bi  0.1904  0.6097  0.4941
Bi  0.3096  0.1097  0.9941
Bi  0.3903  0.1904  0.4941
Bi  0.5000  0.5000  0.1137
Bi  0.6097  0.8096  0.4941
Bi  0.6904  0.8903  0.9941
Bi  0.8096  0.3903  0.4941
Bi  0.8903  0.3096  0.9941

This entry pairs a crystal structure of Ba4InBiO6 with its calculated PXRD pattern. Radiation: Cu Kα. Structure: a structure optimized by DFT (PBE).
Lines closer than 0.1° are merged.

Peak list (10 most intense, 10° ≤ 2θ ≤ 90°, in order of rising 2θ)
two_theta, I_rel
13.3, 26
27.8, 66
28.1, 100
39.3, 28
39.7, 34
49.4, 43
57.1, 19
57.4, 11
65.0, 12
79.1, 11

Structural model:
a = 4.5373 Å, b = 4.5373 Å, c = 13.3034 Å
α = 90.00°, β = 90.00°, γ = 90.00°
Positions (direct):
Ba  0.0000  0.0000  0.1302
Ba  0.0000  0.0000  0.8698
Ba  0.5000  0.5000  0.3614
Ba  0.5000  0.5000  0.6386
In  0.5000  0.5000  0.0000
Bi  0.0000  0.0000  0.5000
O  0.0000  0.0000  0.3173
O  0.0000  0.0000  0.6827
O  0.0000  0.5000  0.0000
O  0.0000  0.5000  0.5000
O  0.5000  0.0000  0.0000
O  0.5000  0.0000  0.5000

This entry pairs a crystal structure of BaSrInBiO6 with its calculated PXRD pattern. Radiation: Cu Kα. Structure: a structure optimized by DFT (PBE).
Lines closer than 0.1° are merged.

Peak list (10 most intense, 10° ≤ 2θ ≤ 90°, in order of rising 2θ)
two_theta, I_rel
18.0, 8
20.8, 9
29.6, 100
34.9, 5
42.4, 30
52.6, 41
61.5, 19
69.7, 18
77.5, 6
85.1, 22

Structural model:
a = 6.0312 Å, b = 6.0312 Å, c = 6.0312 Å
α = 60.00°, β = 60.00°, γ = 60.00°
Positions (direct):
Ba  0.0000  0.0000  0.0000
Sr  0.5000  0.5000  0.5000
In  0.2500  0.2500  0.2500
Bi  0.7500  0.7500  0.7500
O  0.5018  0.5018  0.9982
O  0.5018  0.9982  0.5018
O  0.5018  0.9982  0.9982
O  0.9982  0.5018  0.5018
O  0.9982  0.5018  0.9982
O  0.9982  0.9982  0.5018

This entry pairs a crystal structure of BaSrInBiO6 with its calculated PXRD pattern. Radiation: Cu Kα. Structure: a structure optimized by DFT (PBE).
Lines closer than 0.1° are merged.

Peak list (10 most intense, 10° ≤ 2θ ≤ 90°, in order of rising 2θ)
two_theta, I_rel
20.9, 8
29.7, 100
42.4, 9
42.5, 18
52.7, 29
52.7, 15
61.6, 11
70.0, 12
85.3, 8
85.4, 11

Structural model:
a = 8.4949 Å, b = 8.5036 Å, c = 8.5298 Å
α = 90.00°, β = 90.00°, γ = 90.00°
Positions (direct):
Ba  0.2500  0.2500  0.2500
Ba  0.2500  0.7500  0.7500
Ba  0.7500  0.2500  0.2500
Ba  0.7500  0.7500  0.7500
Sr  0.2500  0.2500  0.7500
Sr  0.2500  0.7500  0.2500
Sr  0.7500  0.2500  0.7500
Sr  0.7500  0.7500  0.2500
In  0.0000  0.0000  0.0000
In  0.0000  0.5000  0.5000
In  0.5000  0.0000  0.5000
In  0.5000  0.5000  0.0000
Bi  0.0000  0.0000  0.5000
Bi  0.0000  0.5000  0.0000
Bi  0.5000  0.0000  0.0000
Bi  0.5000  0.5000  0.5000
O  0.0277  0.2478  0.4731
O  0.0277  0.2522  0.0269
O  0.0374  0.0325  0.7473
O  0.0374  0.4675  0.7527
O  0.2476  0.5364  0.0351
O  0.2476  0.9636  0.4649
O  0.2524  0.5364  0.4649
O  0.2524  0.9636  0.0351
O  0.4626  0.0325  0.7527
O  0.4626  0.4675  0.7473
O  0.4723  0.2478  0.0269
O  0.4723  0.2522  0.4731
O  0.5277  0.7478  0.5269
O  0.5277  0.7522  0.9731
O  0.5374  0.5325  0.2527
O  0.5374  0.9675  0.2473
O  0.7476  0.0364  0.9649
O  0.7476  0.4636  0.5351
O  0.7524  0.0364  0.5351
O  0.7524  0.4636  0.9649
O  0.9626  0.5325  0.2473
O  0.9626  0.9675  0.2527
O  0.9723  0.7478  0.9731
O  0.9723  0.7522  0.5269

This entry pairs a crystal structure of Ba2InBiSe5 with its calculated PXRD pattern. Radiation: Cu Kα. Structure: a structure optimized by DFT (PBE).
Lines closer than 0.1° are merged.

Peak list (10 most intense, 10° ≤ 2θ ≤ 90°, in order of rising 2θ)
two_theta, I_rel
16.0, 13
21.9, 21
24.7, 18
25.4, 17
28.3, 56
28.9, 100
33.6, 49
41.2, 28
47.3, 18
50.8, 22

Structural model:
a = 9.9710 Å, b = 9.9710 Å, c = 13.4281 Å
α = 90.00°, β = 90.00°, γ = 154.63°
Positions (direct):
Ba  0.1132  0.8868  0.5000
Ba  0.1281  0.8718  0.1261
Ba  0.8718  0.1281  0.6261
Ba  0.8868  0.1132  0.0000
In  0.4408  0.5592  0.2576
In  0.5592  0.4408  0.7576
Bi  0.2173  0.7827  0.8369
Bi  0.7827  0.2173  0.3369
Se  0.0459  0.9541  0.8698
Se  0.2835  0.7165  0.4823
Se  0.3125  0.6875  0.1818
Se  0.3582  0.6418  0.8156
Se  0.4966  0.5034  0.5884
Se  0.5034  0.4966  0.0884
Se  0.6418  0.3582  0.3156
Se  0.6875  0.3125  0.6818
Se  0.7165  0.2835  0.9823
Se  0.9541  0.0459  0.3698